No. 1
For CaMn4O8, DFT lattice parameters and positions (GGA+U) gives the calculated XRD peak list in this record (CuKα).
Kinematic intensities with the Lorentz-polarization factor, no thermal factor.

Largest 10 diffraction maxima, low angle first, 2θ from 5° to 70°:
h k l  two_theta  Rel. int.
2 0 -1  12.76  78
2 0 0  17.41  50
4 0 -1  27.91  59
2 0 -3  29.63  94
4 0 0  35.23  54
3 1 -1  35.39  100
3 1 -2  35.93  77
5 1 -4  49.41  57
3 1 2  57.65  58
0 2 0  60.20  71

Cell and atoms:
```
data_CaMn4O8
_chemical_formula_sum 'Ca2 Mn8 O16'
_symmetry_space_group_name_H-M 'C 1 m 1'
_symmetry_Int_Tables_number 8
_cell_length_a 13.9030
_cell_length_b 3.0747
_cell_length_c 9.4686
_cell_angle_alpha 90.00
_cell_angle_beta 132.87
_cell_angle_gamma 90.00
loop_
_symmetry_equiv_pos_as_xyz
'x,y,z'
'x,-y,z'
'x+1/2,y+1/2,z'
'x+1/2,-y+1/2,z'
loop_
_atom_site_label
_atom_site_fract_x
_atom_site_fract_y
_atom_site_fract_z
Ca1 0.0000 0.0000 0.0000
Mn1 0.0645 0.0000 0.3979
Mn2 0.0785 0.5000 0.7369
Mn3 0.2645 0.0000 0.1074
Mn4 0.2726 0.5000 0.4488
O1 0.0620 0.5000 0.5212
O2 0.0735 0.5000 0.2509
O3 0.1172 0.5000 0.9821
O4 0.2062 0.0000 0.8548
O5 0.2593 0.0000 0.5729
O6 0.2678 0.0000 0.3141
O7 0.3784 0.5000 0.1882
O8 0.4591 0.5000 0.6529
```

***

No. 2
For CaMn2O4, DFT lattice parameters and positions (GGA+U) gives the calculated XRD peak list in this record (CuKα).
Kinematic intensities with the Lorentz-polarization factor, no thermal factor.

Largest 10 diffraction maxima, low angle first, 2θ from 5° to 70°:
h k l  two_theta  Rel. int.
0 0 2  15.86  100
0 0 4  32.03  20
1 -2 0  32.92  20
-1 2 2  36.75  16
2 0 2  38.45  15
-1 2 4  46.59  19
1 2 -4  47.68  14
2 0 -4  47.91  29
2 0 4  48.09  15
3 -2 0  60.19  19

Cell and atoms:
```
data_CaMn2O4
_chemical_formula_sum 'Ca4 Mn8 O16'
_symmetry_space_group_name_H-M 'P -1'
_symmetry_Int_Tables_number 2
_cell_length_a 5.1638
_cell_length_b 6.2130
_cell_length_c 11.1785
_cell_angle_alpha 90.16
_cell_angle_beta 90.17
_cell_angle_gamma 92.96
loop_
_symmetry_equiv_pos_as_xyz
'x,y,z'
'-x,-y,-z'
loop_
_atom_site_label
_atom_site_fract_x
_atom_site_fract_y
_atom_site_fract_z
Ca1 0.0063 0.2826 0.2508
Ca2 0.3676 0.2321 0.7492
Mn1 0.0032 0.7533 0.0140
Mn2 0.0071 0.7533 0.4863
Mn3 0.5000 0.0000 0.0000
Mn4 0.5000 0.0000 0.5000
Mn5 0.5000 0.5000 0.0000
Mn6 0.5000 0.5000 0.5000
O1 0.1791 0.4693 0.6080
O2 0.1799 0.9696 0.8978
O3 0.1847 0.4738 0.8907
O4 0.1914 0.9630 0.6019
O5 0.2974 0.2240 0.4128
O6 0.2999 0.2782 0.0895
O7 0.3308 0.7756 0.0991
O8 0.3316 0.7149 0.4029
```